Structure and calculated powder X-ray diffraction pattern of Cs6TlBr8 (a PBE-relaxed structure; Cu Kα (λ = 1.5418 Å)).
Intensities are scaled so that the largest is 100.

Structural model:
a = 10.4914 Å, b = 10.4914 Å, c = 7.5498 Å
α = 90.00°, β = 90.00°, γ = 120.00°
Space group P-31m (No. 162)
Inequivalent atoms, fractional coordinates:
Cs1 0.0000 0.3783 0.2215 (multiplicity 6)
Tl1 0.0000 0.0000 0.5000 (multiplicity 1)
Br1 0.0000 0.2601 0.7033 (multiplicity 6)
Br2 0.3333 0.6667 0.0000 (multiplicity 2)

The 12 most intense peaks (15° ≤ 2θ ≤ 90°), sorted by position:
index  two_theta  d_spacing  I_rel
1 0 1  15.3  5.807  61
1 1 1  20.6  4.308  20
0 0 2  23.6  3.775  19
3 -1 1  28.6  3.126  87
2 -1 2  29.1  3.064  100
3 0 0  29.5  3.029  76
3 1 1  37.6  2.390  36
2 2 2  41.9  2.154  23
2 1 3  44.6  2.030  23
3 2 1  45.1  2.009  13
6 -2 1  54.8  1.674  17
5 -2 3  57.4  1.605  15


Structure and calculated powder X-ray diffraction pattern of CsTlBr6 (a PBE-relaxed structure; Cu Kα (λ = 1.5418 Å)).
Intensities are scaled so that the largest is 100.

Structural model:
a = 10.0834 Å, b = 10.0834 Å, c = 10.5287 Å
α = 90.00°, β = 90.00°, γ = 120.00°
Space group R-3m (No. 166, hexagonal axes)
Inequivalent atoms, fractional coordinates:
Cs1 0.0000 0.0000 0.0000 (multiplicity 3)
Tl1 0.0000 0.0000 0.5000 (multiplicity 3)
Br1 0.0844 0.5422 0.3329 (multiplicity 18)

The 12 most intense peaks (15° ≤ 2θ ≤ 90°), sorted by position:
index  two_theta  d_spacing  I_rel
1 1 0  17.6  5.042  39
0 1 2  19.7  4.508  32
0 2 1  22.0  4.033  25
0 0 3  25.4  3.510  15
2 1 1  28.3  3.149  17
1 2 2  32.0  2.796  100
2 2 0  35.6  2.521  31
0 3 3  40.3  2.240  13
2 1 4  44.0  2.058  41
3 3 0  54.6  1.681  21
5 0 2  55.4  1.658  21
0 5 4  64.0  1.455  11


Structure and calculated powder X-ray diffraction pattern of CsTlBr3 (a PBE-relaxed structure; Cu Kα (λ = 1.5418 Å)).
Intensities are scaled so that the largest is 100.

Structural model:
a = 15.3863 Å, b = 14.1014 Å, c = 8.7813 Å
α = 90.00°, β = 95.85°, γ = 90.00°
Space group C2/c (No. 15)
Inequivalent atoms, fractional coordinates:
Cs1 0.2004 0.1010 0.2820 (multiplicity 8)
Tl1 0.0000 0.2596 0.7500 (multiplicity 4)
Tl2 0.0000 0.4138 0.2500 (multiplicity 4)
Br1 0.1025 0.4041 0.9172 (multiplicity 8)
Br2 0.1066 0.1225 0.8961 (multiplicity 8)
Br3 0.1120 0.2751 0.5164 (multiplicity 8)

The 12 most intense peaks (15° ≤ 2θ ≤ 90°), sorted by position:
index  two_theta  d_spacing  I_rel
3 1 0  18.5  4.798  61
2 2 -1  19.3  4.601  66
0 0 2  20.3  4.375  42
2 2 1  20.5  4.330  45
1 3 1  22.5  3.948  100
3 1 -2  26.2  3.396  39
3 3 1  28.4  3.141  73
4 0 -2  29.4  3.036  51
2 4 1  30.1  2.966  42
5 3 -1  35.6  2.520  75
1 3 -3  36.3  2.478  68
5 3 1  37.3  2.408  61


Q: What is the formula in the third record?
A: CsTlBr3